# Mg2Cd
Simulated powder XRD pattern, Cu Kα X-rays. Input: a GGA-PBE-relaxed structure.

Cell and atoms:
a = 3.202 Å, b = 3.202 Å, c = 15.134 Å
α = 90.00°, β = 90.00°, γ = 120.00°
Sites, in units of the cell vectors:
Mg 0.000 0.000 0.000
Mg 0.000 0.000 0.330
Mg 0.000 0.000 0.670
Mg 0.333 0.667 0.500
Cd 0.333 0.667 0.165
Cd 0.333 0.667 0.835

Principal peaks in the range 15° ≤ 2θ ≤ 90°, low angle first:
- 17.6 deg, I 37
- 32.3 deg, I 41
- 35.6 deg, I 22
- 37.0 deg, I 100
- 48.8 deg, I 25
- 57.6 deg, I 16
- 64.8 deg, I 18
- 69.6 deg, I 17